For Hf2MgZr2, DFT lattice parameters and positions (GGA-PBE) gives the calculated X-ray diffraction stick pattern in this record (copper Kα).
No peak broadening, texture or thermal motion is included.

Structure:
```
Hf2MgZr2
1.0
7.066 -2.798 0.000
7.066 2.798 0.000
-1.541 0.000 5.708
Hf Mg Zr
4 2 4
direct
0.020 0.180 0.453 Hf
0.180 0.020 0.953 Hf
0.820 0.980 0.047 Hf
0.980 0.820 0.547 Hf
0.418 0.582 0.250 Mg
0.582 0.418 0.750 Mg
0.207 0.398 0.841 Zr
0.398 0.207 0.341 Zr
0.602 0.793 0.659 Zr
0.793 0.602 0.159 Zr
```

The 10 most intense peaks (5 to 70 degrees two-theta), sorted by position:
| 2θ (°) | d/Å | intensity |
| --- | --- | --- |
| 17.12 | 5.178 | 42 |
| 26.12 | 3.411 | 11 |
| 31.98 | 2.798 | 11 |
| 32.41 | 2.762 | 24 |
| 35.36 | 2.539 | 36 |
| 36.65 | 2.452 | 100 |
| 37.45 | 2.401 | 46 |
| 57.26 | 1.609 | 19 |
| 68.60 | 1.368 | 10 |
| 69.68 | 1.349 | 17 |